Diffraction record for V3PtO9. The powder diffractogram is computed, not measured: it uses a DFT-relaxed cell (GGA+U, Alexandria) and Cu Kα (λ = 1.5418 Å).

Crystal structure
Lattice parameters (Å, degrees): 14.226 7.114 10.243 90.00 126.70 90.00
Space group Cc (No. 9)
Unique sites:
1 V 0.000 0.025 0.000 [4 per cell]
2 V 0.122 0.401 0.931 [4 per cell]
3 V 0.373 0.099 0.561 [4 per cell]
4 Pt 0.251 0.250 0.750 [4 per cell]
5 O 0.004 0.500 0.252 [4 per cell]
6 O 0.072 0.174 0.946 [4 per cell]
7 O 0.103 0.109 0.668 [4 per cell]
8 O 0.161 0.464 0.596 [4 per cell]
9 O 0.237 0.367 0.920 [4 per cell]
10 O 0.260 0.130 0.581 [4 per cell]
11 O 0.345 0.040 0.902 [4 per cell]
12 O 0.400 0.386 0.834 [4 per cell]
13 O 0.427 0.333 0.551 [4 per cell]

Main lines, by angle (2θ = 5–70°):
Position (°2θ)  I_rel  (hkl)
15.22  692  1 1 -1
15.54  193  2 0 0
17.52  247  2 0 -2
20.84  1000  1 1 1
22.76  163  3 1 -1
23.82  206  3 1 -2
25.22  179  4 0 -2
29.29  278  3 1 -3
29.60  255  2 2 0
31.33  139  1 1 -3
33.33  185  0 2 2
54.73  131  6 2 0